Entry 1:
Structure and calculated powder diffractogram of Sm2Tm3In (DFT lattice parameters and positions (PBE); Cu Kα (λ = 1.5418 Å)).
No peak broadening, texture or thermal motion is included.

Cell and atoms:
Cell: 4.843 15.031 4.886 Å, 90.00 90.00 90.00°
Space group Cmmm (No. 65)
Symmetry-distinct sites (fractional):
Sm: 0.000 0.162 0.000 (multiplicity 4)
Tm: 0.000 0.000 0.500 (multiplicity 2)
Tm: 0.000 0.334 0.500 (multiplicity 4)
In: 0.000 0.500 0.000 (multiplicity 2)

Main lines, low angle first (2θ from 10° to 90°):
index, 2theta, intensity
1 3 1, 31.5, 1000
0 6 0, 35.8, 176
0 0 2, 36.8, 166
2 0 0, 37.1, 162
0 6 2, 52.3, 120
2 6 0, 52.6, 118
1 9 1, 61.7, 144
1 3 3, 63.0, 138
3 3 1, 63.5, 135
2 6 2, 65.9, 120

***

Entry 2:
Structure and calculated powder diffractogram of YSiRh2 (DFT lattice parameters and positions (PBE); Cu Kα (λ = 1.5418 Å)).
No peak broadening, texture or thermal motion is included.

Cell and atoms:
Cell: 3.940 3.940 9.291 Å, 90.00 90.00 90.00°
Space group P4/nmm (No. 129, origin choice 2)
Symmetry-distinct sites (fractional):
Y: 0.250 0.250 0.208 (multiplicity 2)
Si: 0.250 0.250 0.646 (multiplicity 2)
Rh: 0.250 0.250 0.896 (multiplicity 2)
Rh: 0.250 0.750 0.500 (multiplicity 2)

Main lines, low angle first (2θ from 10° to 90°):
index, 2theta, intensity
0 0 3, 28.8, 327
1 1 0, 32.1, 210
1 1 1, 33.6, 1000
1 0 3, 36.9, 597
1 1 2, 37.6, 504
1 0 4, 45.3, 239
2 0 0, 46.1, 575
1 1 4, 51.2, 240
2 0 3, 55.3, 205
2 1 3, 60.4, 274

***

Entry 3:
Structure and calculated powder diffractogram of Zr7Zn (DFT lattice parameters and positions (PBE); Cu Kα (λ = 1.5418 Å)).
No peak broadening, texture or thermal motion is included.

Cell and atoms:
Cell: 4.450 4.450 8.919 Å, 90.00 90.00 90.00°
Space group P4/mmm (No. 123)
Symmetry-distinct sites (fractional):
Zr: 0.000 0.000 0.000 (multiplicity 1)
Zr: 0.000 0.000 0.500 (multiplicity 1)
Zr: 0.000 0.500 0.243 (multiplicity 4)
Zr: 0.500 0.500 0.500 (multiplicity 1)
Zn: 0.500 0.500 0.000 (multiplicity 1)

Main lines, low angle first (2θ from 10° to 90°):
index, 2theta, intensity
0 0 3, 30.1, 8
1 1 2, 34.9, 1000
2 0 0, 40.5, 490
2 2 0, 58.6, 318
1 1 6, 70.0, 119
3 1 2, 70.1, 244
2 2 4, 73.7, 104
0 0 8, 87.5, 16
4 0 0, 87.7, 34
2 0 7, 88.5, 5

***

Entry 4:
Structure and calculated powder diffractogram of DyB4W2 (DFT lattice parameters and positions (PBE); Cu Kα (λ = 1.5418 Å)).
No peak broadening, texture or thermal motion is included.

Cell and atoms:
Cell: 13.138 4.508 5.852 Å, 90.00 102.78 90.00°
Space group C2/c (No. 15)
Symmetry-distinct sites (fractional):
Dy: 0.000 0.231 0.250 (multiplicity 4)
B: 0.118 0.292 0.811 (multiplicity 8)
B: 0.147 0.498 0.575 (multiplicity 8)
W: 0.216 0.007 0.606 (multiplicity 8)

Main lines, low angle first (2θ from 10° to 90°):
index, 2theta, intensity
2 0 0, 13.8, 802
1 1 -1, 25.2, 313
4 0 0, 27.9, 700
1 1 -2, 36.6, 564
2 0 2, 37.3, 714
3 1 -2, 39.3, 1000
5 1 0, 40.5, 566
2 2 0, 42.5, 815
6 0 2, 59.6, 336
4 2 2, 63.5, 446